The following is a computed powder XRD pattern of PmCr3O12. It was derived from a PBE+U-relaxed structure, using Cu Kα, 1.54184 Å.

Crystal structure
abc: 10.424 10.424 10.424
angles: 48.34 48.34 48.34
Fractional positions:
Pm  0.000  0.000  0.000
Pm  0.500  0.500  0.500
Cr  0.087  0.369  0.721
Cr  0.221  0.869  0.587
Cr  0.369  0.721  0.087
Cr  0.587  0.221  0.869
Cr  0.721  0.087  0.369
Cr  0.869  0.587  0.221
O  0.074  0.455  0.112
O  0.112  0.074  0.455
O  0.147  0.207  0.673
O  0.161  0.878  0.776
O  0.173  0.707  0.647
O  0.207  0.673  0.147
O  0.276  0.378  0.661
O  0.298  0.952  0.958
O  0.378  0.661  0.276
O  0.452  0.798  0.458
O  0.455  0.112  0.074
O  0.458  0.452  0.798
O  0.574  0.612  0.955
O  0.612  0.955  0.574
O  0.647  0.173  0.707
O  0.661  0.276  0.378
O  0.673  0.147  0.207
O  0.707  0.647  0.173
O  0.776  0.161  0.878
O  0.798  0.458  0.452
O  0.878  0.776  0.161
O  0.952  0.958  0.298
O  0.955  0.574  0.612
O  0.958  0.298  0.952

Top 10 peaks for 15 to 90 degrees two-theta, low angle first:
- 17.6°, rel. 72
- 19.3°, rel. 34
- 23.0°, rel. 100
- 27.4°, rel. 35
- 28.6°, rel. 94
- 32.7°, rel. 24
- 36.5°, rel. 33
- 41.6°, rel. 55
- 44.7°, rel. 25
- 46.9°, rel. 27